Entry 1:
Simulated XRD peak list
Compound: CaAs2F8
Radiation: Cu Kα
Structure: a PBE-relaxed structure

Largest 10 diffraction maxima, most intense first, 2θ from 5° to 70°:
| 2θ/deg | I_rel |
| --- | --- |
| 23.4 | 100 |
| 36.6 | 92 |
| 18.2 | 60 |
| 17.8 | 59 |
| 23.1 | 53 |
| 27.7 | 51 |
| 21.9 | 50 |
| 43.3 | 37 |
| 56.3 | 25 |
| 29.6 | 24 |

Cell: 6.249 6.249 5.070 Å, 98.05 98.05 74.78°
Positions (direct):
Ca: 0.000 0.000 0.000
As: 0.287 0.287 0.483
As: 0.713 0.713 0.517
F: 0.010 0.343 0.278
F: 0.129 0.129 0.697
F: 0.343 0.010 0.278
F: 0.397 0.397 0.226
F: 0.603 0.603 0.774
F: 0.657 0.990 0.722
F: 0.871 0.871 0.303
F: 0.990 0.657 0.722

Entry 2:
Simulated XRD peak list
Compound: KCaAsF6
Radiation: Cu Kα
Structure: a PBE-relaxed structure

Largest 10 diffraction maxima, most intense first, 2θ from 5° to 70°:
| 2θ/deg | I_rel |
| --- | --- |
| 23.8 | 100 |
| 45.2 | 60 |
| 16.2 | 43 |
| 34.5 | 38 |
| 50.0 | 24 |
| 17.3 | 24 |
| 30.3 | 24 |
| 53.8 | 24 |
| 38.9 | 20 |
| 68.3 | 10 |

Cell: 5.909 5.909 5.472 Å, 90.02 90.02 120.07°
Positions (direct):
K: 0.000 0.000 0.000
Ca: 0.667 0.333 0.500
As: 0.333 0.667 0.500
F: 0.025 0.384 0.293
F: 0.026 0.641 0.706
F: 0.359 0.384 0.707
F: 0.359 0.974 0.294
F: 0.616 0.641 0.293
F: 0.616 0.975 0.707

Entry 3:
Simulated XRD peak list
Compound: CaMgAsO4F
Radiation: Cu Kα
Structure: a PBE-relaxed structure

Largest 10 diffraction maxima, most intense first, 2θ from 5° to 70°:
| 2θ/deg | I_rel |
| --- | --- |
| 33.0 | 100 |
| 28.6 | 88 |
| 26.9 | 67 |
| 33.6 | 48 |
| 30.6 | 43 |
| 27.0 | 39 |
| 53.5 | 35 |
| 39.1 | 33 |
| 18.1 | 31 |
| 25.2 | 26 |

Cell: 5.664 5.664 7.204 Å, 103.91 103.91 106.14°
Positions (direct):
Ca: 0.169 0.831 0.750
Ca: 0.831 0.169 0.250
Mg: 0.500 0.500 0.000
Mg: 0.500 0.500 0.500
As: 0.178 0.822 0.250
As: 0.822 0.178 0.750
O: 0.120 0.239 0.922
O: 0.172 0.603 0.381
O: 0.239 0.120 0.422
O: 0.397 0.828 0.119
O: 0.603 0.172 0.881
O: 0.761 0.880 0.578
O: 0.828 0.397 0.619
O: 0.880 0.761 0.078
F: 0.418 0.582 0.750
F: 0.582 0.418 0.250

Entry 4:
Simulated XRD peak list
Compound: Ca5As3O12F
Radiation: Cu Kα
Structure: a PBE-relaxed structure

Largest 10 diffraction maxima, most intense first, 2θ from 5° to 70°:
| 2θ/deg | I_rel |
| --- | --- |
| 25.3 | 100 |
| 31.0 | 59 |
| 30.5 | 56 |
| 31.7 | 56 |
| 31.4 | 55 |
| 22.4 | 53 |
| 31.6 | 53 |
| 30.8 | 53 |
| 30.6 | 48 |
| 30.2 | 39 |

Cell: 7.043 9.748 9.835 Å, 60.40 88.35 89.12°
Positions (direct):
Ca: 0.003 0.146 0.196
Ca: 0.236 0.267 0.500
Ca: 0.253 0.498 0.742
Ca: 0.264 0.747 0.253
Ca: 0.497 0.186 0.152
Ca: 0.503 0.814 0.848
Ca: 0.736 0.253 0.747
Ca: 0.747 0.502 0.258
Ca: 0.764 0.733 0.500
Ca: 0.997 0.854 0.804
As: 0.238 0.109 0.871
As: 0.240 0.526 0.104
As: 0.271 0.872 0.526
As: 0.729 0.128 0.474
As: 0.760 0.474 0.896
As: 0.762 0.891 0.129
O: 0.039 0.133 0.762
O: 0.061 0.769 0.588
O: 0.072 0.575 0.202
O: 0.210 0.627 0.904
O: 0.223 0.186 0.994
O: 0.245 0.325 0.184
O: 0.278 0.978 0.624
O: 0.279 0.985 0.326
O: 0.284 0.909 0.969
O: 0.408 0.215 0.730
O: 0.449 0.733 0.598
O: 0.451 0.598 0.128
O: 0.549 0.402 0.872
O: 0.551 0.267 0.402
O: 0.592 0.785 0.270
O: 0.716 0.091 0.031
O: 0.721 0.015 0.674
O: 0.722 0.022 0.376
O: 0.755 0.675 0.816
O: 0.777 0.814 0.006
O: 0.790 0.373 0.096
O: 0.928 0.425 0.798
O: 0.939 0.231 0.412
O: 0.961 0.867 0.238
F: 0.244 0.514 0.495
F: 0.756 0.486 0.505

Entry 5:
Simulated XRD peak list
Compound: RbCaAsF6
Radiation: Cu Kα
Structure: a PBE-relaxed structure

Largest 10 diffraction maxima, most intense first, 2θ from 5° to 70°:
| 2θ/deg | I_rel |
| --- | --- |
| 23.0 | 100 |
| 43.4 | 36 |
| 30.1 | 23 |
| 49.4 | 16 |
| 38.2 | 13 |
| 15.1 | 11 |
| 43.5 | 11 |
| 53.6 | 10 |
| 33.9 | 9 |
| 50.0 | 9 |

Cell: 5.935 5.935 5.858 Å, 90.06 90.06 120.18°
Positions (direct):
Rb: 0.000 0.000 0.000
Ca: 0.666 0.334 0.500
As: 0.334 0.666 0.500
F: 0.024 0.390 0.304
F: 0.027 0.635 0.695
F: 0.365 0.973 0.305
F: 0.367 0.391 0.697
F: 0.609 0.633 0.303
F: 0.610 0.976 0.696

Entry 6:
Simulated XRD peak list
Compound: CaGa2AsO6
Radiation: Cu Kα
Structure: a PBE-relaxed structure

Largest 10 diffraction maxima, most intense first, 2θ from 5° to 70°:
| 2θ/deg | I_rel |
| --- | --- |
| 23.1 | 100 |
| 29.4 | 58 |
| 33.6 | 52 |
| 34.0 | 46 |
| 27.4 | 43 |
| 31.0 | 42 |
| 46.1 | 39 |
| 21.5 | 38 |
| 30.5 | 32 |
| 32.1 | 32 |

Cell: 6.982 6.982 6.112 Å, 105.28 105.28 99.29°
Positions (direct):
Ca: 0.100 0.900 0.750
Ca: 0.900 0.100 0.250
Ga: 0.285 0.446 0.832
Ga: 0.446 0.285 0.332
Ga: 0.554 0.715 0.668
Ga: 0.715 0.554 0.168
As: 0.209 0.791 0.250
As: 0.791 0.209 0.750
O: 0.031 0.214 0.690
O: 0.131 0.639 0.918
O: 0.214 0.031 0.190
O: 0.321 0.435 0.533
O: 0.361 0.869 0.582
O: 0.435 0.321 0.033
O: 0.565 0.679 0.967
O: 0.639 0.131 0.418
O: 0.679 0.565 0.467
O: 0.786 0.969 0.810
O: 0.869 0.361 0.082
O: 0.969 0.786 0.310

Entry 7:
Simulated XRD peak list
Compound: CaGeAs2
Radiation: Cu Kα
Structure: a PBE-relaxed structure

Largest 10 diffraction maxima, most intense first, 2θ from 5° to 70°:
| 2θ/deg | I_rel |
| --- | --- |
| 28.9 | 100 |
| 34.6 | 76 |
| 29.2 | 70 |
| 41.5 | 61 |
| 42.9 | 40 |
| 16.3 | 34 |
| 30.4 | 33 |
| 14.5 | 26 |
| 33.0 | 24 |
| 45.8 | 21 |

Cell: 6.178 6.127 11.812 Å, 90.00 118.52 90.00°
Positions (direct):
Ca: 0.095 0.228 0.123
Ca: 0.095 0.772 0.623
Ca: 0.905 0.228 0.377
Ca: 0.905 0.772 0.877
Ge: 0.498 0.372 0.880
Ge: 0.498 0.628 0.380
Ge: 0.502 0.372 0.620
Ge: 0.502 0.628 0.120
As: 0.147 0.281 0.664
As: 0.147 0.719 0.164
As: 0.448 0.225 0.412
As: 0.448 0.775 0.912
As: 0.552 0.225 0.088
As: 0.552 0.775 0.588
As: 0.853 0.281 0.836
As: 0.853 0.719 0.336

Entry 8:
Simulated XRD peak list
Compound: Ca3GeAs2Pt9
Radiation: Cu Kα
Structure: a PBE-relaxed structure

Largest 10 diffraction maxima, most intense first, 2θ from 5° to 70°:
| 2θ/deg | I_rel |
| --- | --- |
| 37.8 | 100 |
| 33.1 | 85 |
| 18.7 | 56 |
| 43.3 | 29 |
| 10.2 | 27 |
| 55.9 | 26 |
| 44.8 | 23 |
| 25.9 | 22 |
| 31.1 | 19 |
| 41.8 | 18 |

Cell: 6.578 6.578 8.635 Å, 90.00 90.00 120.00°
Positions (direct):
Ca: 0.000 0.000 0.000
Ca: 0.333 0.667 0.703
Ca: 0.667 0.333 0.297
Ge: 0.000 0.000 0.500
As: 0.333 0.667 0.193
As: 0.667 0.333 0.807
Pt: 0.000 0.500 0.000
Pt: 0.139 0.277 0.280
Pt: 0.139 0.861 0.280
Pt: 0.277 0.139 0.720
Pt: 0.500 0.000 0.000
Pt: 0.500 0.500 0.000
Pt: 0.723 0.861 0.280
Pt: 0.861 0.139 0.720
Pt: 0.861 0.723 0.720